This entry pairs a crystal structure of YHgPd2 with its simulated PXRD pattern. Radiation: Cu Kα, 1.54184 Å. Structure: a DFT-relaxed cell (PBE, OQMD).
No peak broadening, texture or thermal motion is included.

Most intense lines, 15 to 90 degrees two-theta, sorted by position:
2θ (°)	d (Å)	I (rel.)	hkl
22.63	3.929	8	1 1 1
26.19	3.403	6	2 0 0
37.37	2.406	100	2 2 0
44.13	2.052	4	3 1 1
53.89	1.701	17	4 0 0
60.87	1.522	2	4 2 0
67.41	1.389	35	4 2 2
79.70	1.203	11	4 4 0

Structure:
a b c (Å): 6.806 6.806 6.806
angles (deg): 90.00 90.00 90.00
Space group F-43m (No. 216)
Asymmetric unit:
Y 0.000 0.000 0.000
Hg 0.250 0.250 0.250
Pd 0.000 0.000 0.500
Pd 0.250 0.250 0.750

This entry pairs a crystal structure of Zr3ScSb2 with its simulated PXRD pattern. Radiation: Cu Kα, 1.54184 Å. Structure: a DFT-relaxed cell (PBE, OQMD).
No peak broadening, texture or thermal motion is included.

Most intense lines, 15 to 90 degrees two-theta, sorted by position:
2θ (°)	d (Å)	I (rel.)	hkl
22.20	4.005	24	1 0 1
32.58	2.748	76	1 1 2
33.65	2.663	34	0 0 6
38.12	2.361	100	1 1 4
43.74	2.070	52	2 0 0
45.38	1.999	21	0 0 8
56.30	1.634	32	2 0 6
76.60	1.244	25	3 1 4

Structure:
a b c (Å): 4.139 4.139 15.979
angles (deg): 90.00 90.00 90.00
Space group I4mm (No. 107)
Asymmetric unit:
Zr 0.000 0.000 0.000
Zr 0.000 0.500 0.175
Sc 0.000 0.000 0.353
Sb 0.000 0.000 0.536
Sb 0.000 0.000 0.816

This entry pairs a crystal structure of Li4Sm3Ge4 with its simulated PXRD pattern. Radiation: Cu Kα, 1.54184 Å. Structure: a DFT-relaxed cell (PBE, OQMD).
No peak broadening, texture or thermal motion is included.

Most intense lines, 15 to 90 degrees two-theta, sorted by position:
2θ (°)	d (Å)	I (rel.)	hkl
21.20	4.190	25	1 0 1
26.30	3.389	33	0 2 0
27.46	3.248	24	1 0 3
33.53	2.673	25	0 1 5
34.03	2.635	74	1 2 1
34.70	2.585	100	1 1 4
41.27	2.188	26	2 0 0
67.75	1.383	24	2 3 5

Structure:
a b c (Å): 4.375 6.777 14.542
angles (deg): 90.00 90.00 90.00
Space group Immm (No. 71)
Asymmetric unit:
Li 0.000 0.190 0.171
Sm 0.000 0.000 0.370
Sm 0.000 0.500 0.500
Ge 0.000 0.313 0.000
Ge 0.000 0.500 0.286

This entry pairs a crystal structure of CsRbZrAg2Te4 with its simulated PXRD pattern. Radiation: Cu Kα, 1.54184 Å. Structure: a DFT-relaxed cell (PBE, OQMD).
No peak broadening, texture or thermal motion is included.

Most intense lines, 15 to 90 degrees two-theta, sorted by position:
2θ (°)	d (Å)	I (rel.)	hkl
25.87	3.444	100	1 1 1
26.04	3.422	98	1 1 -2
27.02	3.300	31	2 0 -1
29.54	3.024	43	2 0 -2
36.06	2.491	27	0 2 2
38.58	2.334	79	2 2 -1
45.13	2.009	34	0 2 3
47.11	1.929	38	1 3 1

Structure:
a b c (Å): 6.606 6.597 8.260
angles (deg): 90.00 113.06 90.00
Space group P2 (No. 3)
Asymmetric unit:
Cs 0.000 0.000 0.000
Rb 0.500 0.483 0.000
Zr 0.500 0.740 0.500
Ag 0.000 0.741 0.500
Ag 0.500 0.241 0.500
Te 0.152 0.500 0.286
Te 0.365 0.981 0.715

This entry pairs a crystal structure of K2Pa3S8 with its simulated PXRD pattern. Radiation: Cu Kα, 1.54184 Å. Structure: a DFT-relaxed cell (PBE, OQMD).
No peak broadening, texture or thermal motion is included.

Most intense lines, 15 to 90 degrees two-theta, sorted by position:
2θ (°)	d (Å)	I (rel.)	hkl
19.70	4.507	42	1 1 1
25.51	3.492	52	0 2 1
26.40	3.376	100	2 2 -1
26.92	3.312	51	0 0 2
32.54	2.751	99	4 2 -1
33.25	2.694	52	2 0 2
38.90	2.315	49	4 2 1
44.65	2.029	52	2 2 -3

Structure:
a b c (Å): 15.207 8.220 7.002
angles (deg): 90.00 108.91 90.00
Space group C2/m (No. 12)
Asymmetric unit:
K 0.226 0.000 0.157
Pa 0.000 0.243 0.500
Pa 0.000 0.500 0.000
S 0.096 0.500 0.402
S 0.098 0.277 0.885
S 0.104 0.000 0.459

This entry pairs a crystal structure of Sm2Dy2CIBr2Cl2 with its simulated PXRD pattern. Radiation: Cu Kα, 1.54184 Å. Structure: a DFT-relaxed cell (PBE, OQMD).
No peak broadening, texture or thermal motion is included.

Most intense lines, 15 to 90 degrees two-theta, sorted by position:
2θ (°)	d (Å)	I (rel.)	hkl
28.34	3.150	15	3 1 -1
30.88	2.896	100	1 1 -2
31.05	2.880	33	6 0 0
34.52	2.598	21	5 1 -1
38.84	2.319	16	1 1 -3
44.10	2.054	20	5 1 2
44.60	2.031	20	7 1 -2
46.70	1.945	15	0 2 0

Structure:
a b c (Å): 17.749 3.891 8.683
angles (deg): 90.00 103.22 90.00
Space group C2/m (No. 12)
Asymmetric unit:
Sm 0.000 0.000 0.195
Dy 0.139 0.500 0.069
C 0.000 0.500 0.000
I 0.000 0.500 0.500
Br 0.173 0.000 0.846
Cl 0.164 0.000 0.294

This entry pairs a crystal structure of GdY2Cd with its simulated PXRD pattern. Radiation: Cu Kα, 1.54184 Å. Structure: a DFT-relaxed cell (PBE, OQMD).
No peak broadening, texture or thermal motion is included.

Most intense lines, 15 to 90 degrees two-theta, sorted by position:
2θ (°)	d (Å)	I (rel.)	hkl
29.58	3.020	24	2 2 0
32.66	2.742	25	0 0 2
33.89	2.645	100	0 4 1
44.64	2.030	15	2 2 2
52.53	1.742	12	2 6 0
59.08	1.564	20	0 4 3
63.24	1.470	14	2 6 2
63.89	1.457	10	4 4 1

Structure:
a b c (Å): 6.986 12.059 5.483
angles (deg): 90.00 90.00 90.00
Space group Cmcm (No. 63)
Asymmetric unit:
Gd 0.000 0.173 0.250
Y 0.244 0.414 0.250
Cd 0.000 0.334 0.750

This entry pairs a crystal structure of Tm2CdO4 with its simulated PXRD pattern. Radiation: Cu Kα, 1.54184 Å. Structure: a DFT-relaxed cell (PBE, OQMD).
No peak broadening, texture or thermal motion is included.

Most intense lines, 15 to 90 degrees two-theta, sorted by position:
2θ (°)	d (Å)	I (rel.)	hkl
16.33	5.427	24	1 1 1
26.83	3.323	17	2 2 0
31.57	2.834	100	3 1 1
33.01	2.713	36	2 2 2
38.30	2.350	20	4 0 0
50.45	1.809	39	5 1 1
55.28	1.662	42	4 4 0
78.10	1.224	21	5 5 3

Structure:
a b c (Å): 9.400 9.400 9.400
angles (deg): 90.00 90.00 90.00
Space group Fd-3m (No. 227, origin choice 2)
Asymmetric unit:
Tm 0.000 0.000 0.000
Cd 0.125 0.125 0.625
O 0.013 0.013 0.237

This entry pairs a crystal structure of GdCd3Tc with its simulated PXRD pattern. Radiation: Cu Kα, 1.54184 Å. Structure: a DFT-relaxed cell (PBE, OQMD).
No peak broadening, texture or thermal motion is included.

Most intense lines, 15 to 90 degrees two-theta, sorted by position:
2θ (°)	d (Å)	I (rel.)	hkl
26.55	3.357	26	1 1 0
30.75	2.908	100	2 0 0
33.78	2.653	75	1 0 2
40.46	2.229	73	1 1 2
41.06	2.198	30	2 1 0
51.67	1.769	21	2 1 2
54.67	1.679	22	2 2 0
56.64	1.625	35	3 0 2

Structure:
a b c (Å): 6.7150 6.7150 5.9631
angles (deg): 90.00 90.00 120.00
Space group P-6c2 (No. 188)
Asymmetric unit:
Gd 0.0000 0.0000 0.0000
Cd 0.4898 0.0562 0.2500
Tc 0.3333 0.6667 0.0000

This entry pairs a crystal structure of HfSbH with its simulated PXRD pattern. Radiation: Cu Kα, 1.54184 Å. Structure: a DFT-relaxed cell (PBE, OQMD).
No peak broadening, texture or thermal motion is included.

Most intense lines, 15 to 90 degrees two-theta, sorted by position:
2θ (°)	d (Å)	I (rel.)	hkl
27.53	3.240	36	1 0 0
35.86	2.504	100	1 0 1
46.01	1.973	11	0 0 2
48.67	1.871	28	1 1 0
54.45	1.685	11	1 0 2
61.91	1.499	20	2 0 1
69.21	1.357	19	1 1 2
82.46	1.170	18	2 1 1

Structure:
a b c (Å): 3.7416 3.7416 3.9456
angles (deg): 90.00 90.00 120.00
Space group P-6m2 (No. 187)
Asymmetric unit:
Hf 0.0000 0.0000 0.0000
Sb 0.6667 0.3333 0.5000
H 0.3333 0.6667 0.0000

This entry pairs a crystal structure of SbIr17 with its simulated PXRD pattern. Radiation: Cu Kα, 1.54184 Å. Structure: a DFT-relaxed cell (PBE, OQMD).
No peak broadening, texture or thermal motion is included.

Most intense lines, 15 to 90 degrees two-theta, sorted by position:
2θ (°)	d (Å)	I (rel.)	hkl
39.24	2.296	35	0 0 13
40.24	2.241	100	2 0 4
41.29	2.187	76	1 2 -5
42.40	2.132	20	0 0 14
45.62	1.988	27	1 2 8
47.42	1.917	75	1 2 9
69.31	1.356	37	3 2 0
82.64	1.168	17	3 2 13

Structure:
a b c (Å): 4.695 5.432 29.848
angles (deg): 90.00 90.03 90.00
Space group P2_1/m (No. 11)
Asymmetric unit:
Sb 0.167 0.250 0.170
Ir 0.000 0.000 0.500
Ir 0.000 0.002 0.276
Ir 0.166 0.250 0.425
Ir 0.166 0.750 0.426
Ir 0.167 0.750 0.650
Ir 0.168 0.250 0.649
Ir 0.170 0.750 0.202
Ir 0.333 0.000 0.350
Ir 0.333 0.001 0.575
Ir 0.334 0.001 0.797
Ir 0.497 0.250 0.275
Ir 0.499 0.750 0.275
Ir 0.500 0.250 0.500

This entry pairs a crystal structure of FeH12C4NCl4 with its simulated PXRD pattern. Radiation: Cu Kα, 1.54184 Å. Structure: a DFT-relaxed cell (PBE, OQMD).
No peak broadening, texture or thermal motion is included.

Most intense lines, 15 to 90 degrees two-theta, sorted by position:
2θ (°)	d (Å)	I (rel.)	hkl
18.76	4.730	79	2 1 0
18.96	4.680	100	2 0 1
19.67	4.514	65	0 1 1
23.49	3.787	35	2 1 1
27.68	3.223	47	0 2 0
29.29	3.049	49	4 0 1
31.09	2.876	32	2 0 2
32.49	2.756	32	4 1 1

Structure:
a b c (Å): 13.921 6.446 6.323
angles (deg): 90.00 90.00 90.00
Space group Pma2 (No. 28)
Asymmetric unit:
Fe 0.250 0.081 0.000
H 0.024 0.646 0.892
H 0.025 0.188 0.694
H 0.063 0.313 0.349
H 0.099 0.738 0.685
H 0.103 0.579 0.355
H 0.144 0.398 0.552
C 0.027 0.687 0.724
C 0.084 0.444 0.451
N 0.000 0.500 0.590
Cl 0.121 0.956 0.154
Cl 0.250 0.423 0.014
Cl 0.250 0.997 0.662